(1)
For KBaYSi2O7, a crystal structure in the Materials Project, relaxed with GGA-PBE gives the computed XRD peak list in this record (Cu Kα, 1.54184 Å).
Lines closer than 0.1° are merged.

```
KBaYSi2O7
1.0
9.886 0.000 0.000
0.000 5.787 0.000
-6.539 0.000 12.835
K Ba Y Si O
4 4 4 8 28
Direct
0.007 0.236 0.138
0.007 0.264 0.638
0.993 0.736 0.362
0.993 0.764 0.862
0.465 0.231 0.328
0.465 0.269 0.828
0.535 0.731 0.172
0.535 0.769 0.672
0.261 0.240 0.521
0.261 0.260 0.021
0.739 0.740 0.979
0.739 0.760 0.479
0.171 0.745 0.146
0.171 0.755 0.646
0.326 0.728 0.379
0.326 0.772 0.879
0.674 0.228 0.121
0.674 0.272 0.621
0.829 0.245 0.354
0.829 0.255 0.854
0.009 0.240 0.435
0.009 0.260 0.935
0.178 0.703 0.764
0.178 0.797 0.264
0.258 0.001 0.651
0.258 0.499 0.151
0.264 0.538 0.627
0.264 0.962 0.127
0.299 0.035 0.908
0.299 0.465 0.408
0.323 0.581 0.961
0.323 0.919 0.461
0.480 0.742 0.362
0.480 0.758 0.862
0.520 0.242 0.138
0.520 0.258 0.638
0.677 0.081 0.539
0.677 0.419 0.039
0.701 0.535 0.592
0.701 0.965 0.092
0.736 0.038 0.873
0.736 0.462 0.373
0.742 0.501 0.849
0.742 0.999 0.349
0.822 0.203 0.736
0.822 0.297 0.236
0.991 0.740 0.065
0.991 0.760 0.565
```

Principal peaks in the range 2θ from 10° to 90°, sorted by position:
2θ = 10.04°, I 64
2θ = 24.14°, I 27
2θ = 25.68°, I 49
2θ = 25.89°, I 22
2θ = 29.33°, I 100
2θ = 30.90°, I 45
2θ = 31.24°, I 77
2θ = 31.89°, I 19
2θ = 40.74°, I 34
2θ = 54.42°, I 22



(2)
For KBaPS4, a crystal structure in the Materials Project, relaxed with GGA-PBE gives the computed XRD peak list in this record (Cu Kα, 1.54184 Å).
Lines closer than 0.1° are merged.

```
KBaPS4
1.0
12.269 0.000 0.000
0.000 6.786 0.000
0.000 0.000 9.893
K Ba P S
4 4 4 16
Direct
0.122 0.250 0.168
0.378 0.750 0.668
0.622 0.250 0.332
0.878 0.750 0.832
0.142 0.250 0.620
0.358 0.750 0.120
0.642 0.250 0.880
0.858 0.750 0.380
0.174 0.750 0.398
0.326 0.250 0.898
0.674 0.750 0.102
0.826 0.250 0.602
0.079 0.750 0.570
0.084 0.750 0.222
0.228 0.006 0.896
0.228 0.494 0.896
0.272 0.506 0.396
0.272 0.994 0.396
0.416 0.250 0.722
0.421 0.250 0.070
0.579 0.750 0.930
0.584 0.750 0.278
0.728 0.006 0.604
0.728 0.494 0.604
0.772 0.506 0.104
0.772 0.994 0.104
0.916 0.250 0.778
0.921 0.250 0.430
```

Principal peaks in the range 2θ from 10° to 90°, sorted by position:
2θ = 11.49°, I 98
2θ = 15.84°, I 80
2θ = 19.51°, I 38
2θ = 23.41°, I 56
2θ = 26.26°, I 57
2θ = 28.31°, I 79
2θ = 30.78°, I 38
2θ = 31.29°, I 100
2θ = 32.83°, I 99
2θ = 39.61°, I 58



(3)
For KBaPSe4, a crystal structure in the Materials Project, relaxed with GGA-PBE gives the computed XRD peak list in this record (Cu Kα, 1.54184 Å).
Lines closer than 0.1° are merged.

```
KBaPSe4
1.0
12.715 0.000 0.000
0.000 7.120 0.000
0.000 0.000 10.316
K Ba P Se
4 4 4 16
Direct
0.130 0.250 0.167
0.370 0.750 0.667
0.630 0.250 0.333
0.870 0.750 0.833
0.142 0.250 0.619
0.358 0.750 0.119
0.642 0.250 0.881
0.858 0.750 0.381
0.174 0.750 0.396
0.326 0.250 0.896
0.674 0.750 0.104
0.826 0.250 0.604
0.076 0.750 0.576
0.081 0.750 0.213
0.223 0.501 0.894
0.223 0.999 0.894
0.277 0.001 0.394
0.277 0.499 0.394
0.419 0.250 0.713
0.424 0.250 0.076
0.576 0.750 0.924
0.581 0.750 0.287
0.723 0.501 0.606
0.723 0.999 0.606
0.777 0.001 0.106
0.777 0.499 0.106
0.919 0.250 0.787
0.924 0.250 0.424
```

Principal peaks in the range 2θ from 10° to 90°, sorted by position:
2θ = 11.04°, I 45
2θ = 13.93°, I 25
2θ = 15.12°, I 41
2θ = 27.23°, I 82
2θ = 27.42°, I 25
2θ = 28.74°, I 25
2θ = 29.53°, I 37
2θ = 30.04°, I 44
2θ = 31.33°, I 100
2θ = 37.95°, I 41



(4)
For K5BaTaP4, a crystal structure in the Materials Project, relaxed with GGA-PBE gives the computed XRD peak list in this record (Cu Kα, 1.54184 Å).
Lines closer than 0.1° are merged.

```
K5BaTaP4
1.0
5.095 -8.918 0.000
5.095 8.918 0.000
-0.194 0.000 7.994
K Ba Ta P
10 2 2 8
Direct
0.030 0.970 0.500
0.206 0.341 0.695
0.341 0.206 0.195
0.349 0.629 0.176
0.434 0.969 0.500
0.629 0.349 0.676
0.642 0.782 0.667
0.782 0.642 0.167
0.969 0.434 0.000
0.970 0.030 0.000
0.030 0.562 0.495
0.562 0.030 0.995
0.160 0.825 0.894
0.825 0.160 0.394
0.088 0.299 0.311
0.162 0.818 0.195
0.292 0.701 0.792
0.299 0.088 0.811
0.694 0.904 0.282
0.701 0.292 0.292
0.818 0.162 0.695
0.904 0.694 0.782
```

Principal peaks in the range 2θ from 10° to 90°, sorted by position:
2θ = 14.78°, I 81
2θ = 14.88°, I 40
2θ = 17.27°, I 32
2θ = 24.40°, I 28
2θ = 28.72°, I 100
2θ = 28.86°, I 29
2θ = 29.25°, I 38
2θ = 34.95°, I 89
2θ = 35.21°, I 48
2θ = 49.99°, I 30